# 1
The following is a computed X-ray diffraction stick pattern of NdB2Pt6. It was derived from a PBE-relaxed structure, using Cu Ka.

Cell and atoms:
Cell: 5.6361 5.6361 5.5566 Å, 90.00 90.00 120.00°
Space group P6/mmm (No. 191)
Inequivalent atoms, fractional coordinates:
Nd: 0.0000 0.0000 0.0000 (multiplicity 1)
B: 0.3333 0.6667 0.5000 (multiplicity 2)
Pt: 0.0000 0.5000 0.2468 (multiplicity 6)

Most intense lines, 15° ≤ 2θ ≤ 90°, in order of rising 2θ:
hkl 1 0 0, 2θ = 18.17°, intensity 21
hkl 0 0 2, 2θ = 32.22°, intensity 28
hkl 2 0 0, 2θ = 36.83°, intensity 100
hkl 1 0 2, 2θ = 37.24°, intensity 32
hkl 1 1 2, 2θ = 45.87°, intensity 19
hkl 2 0 2, 2θ = 49.73°, intensity 53
hkl 2 1 2, 2θ = 60.21°, intensity 16
hkl 2 2 0, 2θ = 66.34°, intensity 19
hkl 2 2 2, 2θ = 75.68°, intensity 15
hkl 2 0 4, 2θ = 79.37°, intensity 22

=====

# 2
The following is a computed X-ray diffraction stick pattern of SrNdB2Pt8. It was derived from a PBE-relaxed structure, using Cu Ka.

Cell and atoms:
Cell: 5.5451 5.5451 7.6478 Å, 90.00 90.00 120.00°
Space group P6/mmm (No. 191)
Inequivalent atoms, fractional coordinates:
Sr: 0.0000 0.0000 0.0000 (multiplicity 1)
Nd: 0.0000 0.0000 0.5000 (multiplicity 1)
B: 0.3333 0.6667 0.5000 (multiplicity 2)
Pt: 0.0000 0.5000 0.3017 (multiplicity 6)
Pt: 0.3333 0.6667 0.0000 (multiplicity 2)

Most intense lines, 15° ≤ 2θ ≤ 90°, in order of rising 2θ:
hkl 1 0 0, 2θ = 18.48°, intensity 49
hkl 0 0 3, 2θ = 35.20°, intensity 43
hkl 2 0 0, 2θ = 37.46°, intensity 97
hkl 2 0 1, 2θ = 39.33°, intensity 45
hkl 1 0 3, 2θ = 40.04°, intensity 36
hkl 1 1 2, 2θ = 40.17°, intensity 100
hkl 2 0 2, 2θ = 44.56°, intensity 67
hkl 3 0 2, 2θ = 62.91°, intensity 46
hkl 2 2 0, 2θ = 67.57°, intensity 40
hkl 2 0 5, 2θ = 73.40°, intensity 38

=====

# 3
The following is a computed X-ray diffraction stick pattern of SrNdB2Pt8. It was derived from a PBE-relaxed structure, using Cu Ka.

Cell and atoms:
Cell: 5.5294 5.5294 7.6400 Å, 90.00 90.00 120.00°
Space group P6/mmm (No. 191)
Inequivalent atoms, fractional coordinates:
Sr: 0.0000 0.0000 0.0000 (multiplicity 1)
Nd: 0.0000 0.0000 0.5000 (multiplicity 1)
B: 0.3333 0.6667 0.0000 (multiplicity 2)
Pt: 0.0000 0.5000 0.1991 (multiplicity 6)
Pt: 0.3333 0.6667 0.5000 (multiplicity 2)

Most intense lines, 15° ≤ 2θ ≤ 90°, in order of rising 2θ:
hkl 1 0 0, 2θ = 18.53°, intensity 49
hkl 1 1 1, 2θ = 34.50°, intensity 51
hkl 0 0 3, 2θ = 35.24°, intensity 51
hkl 2 0 0, 2θ = 37.57°, intensity 96
hkl 1 1 2, 2θ = 40.27°, intensity 100
hkl 2 0 2, 2θ = 44.67°, intensity 67
hkl 2 0 3, 2θ = 52.46°, intensity 35
hkl 2 2 0, 2θ = 67.79°, intensity 39
hkl 2 0 5, 2θ = 73.53°, intensity 32
hkl 2 2 3, 2θ = 78.77°, intensity 31